Entry 1:
Calculated X-ray powder pattern of Li9Si2NiO10 for Cu Kα, from a structure optimized by DFT (GGA+U).
Intensities are scaled so that the largest is 100.

Main lines, by angle (2θ from 10° to 90°):
h k l	2theta	Rel. int.
1 0 0	16.92	41.8
1 0 1	18.76	41.5
0 1 2	20.48	39.8
1 -1 0	22.15	100.0
1 0 -3	22.58	20.6
1 1 -1	22.78	80.3
2 0 -1	33.81	66.2
0 2 -4	35.82	38.8

Structure:
Cell lengths 5.306, 5.960, 15.383 Å; angles 98.20, 98.50, 91.45 degrees
Space group P1 (No. 1)
Symmetry-distinct sites (fractional):
1 Li 0.000 0.000 0.000
2 Li 0.002 0.713 0.494
3 Li 0.193 0.052 0.592
4 Li 0.253 0.336 0.777
5 Li 0.270 0.479 0.628
6 Li 0.301 0.827 0.144
7 Li 0.311 0.302 0.145
8 Li 0.348 0.129 0.304
9 Li 0.455 0.488 0.492
10 Li 0.484 0.929 0.491
11 Li 0.524 0.226 0.017
12 Li 0.548 0.777 0.019
13 Li 0.662 0.596 0.221
14 Li 0.705 0.246 0.883
15 Li 0.754 0.398 0.375
16 Li 0.770 0.928 0.374
17 Li 0.779 0.390 0.744
18 Li 0.953 0.537 0.107
19 Si 0.182 0.490 0.950
20 Si 0.226 0.633 0.318
21 Si 0.795 0.250 0.563
22 Si 0.813 0.085 0.189
23 Ni 0.532 0.839 0.676
24 Ni 0.536 0.785 0.850
25 O 0.122 0.082 0.188
26 O 0.151 0.726 0.017
27 O 0.173 0.292 0.015
28 O 0.258 0.588 0.211
29 O 0.336 0.746 0.567
30 O 0.361 0.430 0.368
31 O 0.379 0.872 0.366
32 O 0.481 0.513 0.923
33 O 0.490 0.586 0.746
34 O 0.492 0.235 0.577
35 O 0.539 0.031 0.783
36 O 0.648 0.985 0.947
37 O 0.683 0.832 0.141
38 O 0.692 0.295 0.136
39 O 0.737 0.131 0.289
40 O 0.825 0.453 0.504
41 O 0.858 0.004 0.507
42 O 0.925 0.646 0.333
43 O 0.993 0.420 0.857
44 O 0.998 0.290 0.657

***

Entry 2:
Calculated X-ray powder pattern of Li2VCrP2O8F2 for Cu Kα, from a structure optimized by DFT (GGA+U).
Intensities are scaled so that the largest is 100.

Main lines, by angle (2θ from 10° to 90°):
h k l	2theta	Rel. int.
0 1 0	17.86	32.1
1 0 -1	18.39	43.2
1 0 0	18.53	61.0
1 0 -2	26.68	72.9
0 1 -2	26.85	93.0
1 1 0	29.04	100.0
1 -2 0	36.21	34.5
2 0 2	55.55	31.4

Structure:
Cell lengths 5.225, 5.372, 7.347 Å; angles 106.93, 108.48, 98.11 degrees
Space group P-1 (No. 2)
Symmetry-distinct sites (fractional):
1 Li 0.228 0.383 0.311
2 V 0.500 0.000 0.500
3 Cr 0.500 0.000 0.000
4 P 0.179 0.360 0.740
5 O 0.131 0.752 0.413
6 O 0.192 0.660 0.844
7 O 0.249 0.214 0.892
8 O 0.371 0.335 0.612
9 F 0.372 0.071 0.232